# AuSeCl7
Calculated powder XRD pattern, a wavelength of 1.5418 Å. Input: DFT lattice parameters and positions (PBE).
Neutral-atom scattering factors, no anomalous dispersion.

Main lines, low angle first (10 to 80 degrees two-theta):
(0 1 1), 2θ = 11.54°, intensity 100.0; (0 0 2), 2θ = 15.14°, intensity 94.8; (1 0 -2), 2θ = 15.65°, intensity 35.3; (1 2 -1), 2θ = 20.77°, intensity 60.0; (2 0 0), 2θ = 21.85°, intensity 52.2; (2 0 -2), 2θ = 22.38°, intensity 38.8; (1 2 1), 2θ = 23.16°, intensity 58.3; (1 1 -3), 2θ = 23.68°, intensity 25.2; (3 0 -2), 2θ = 31.73°, intensity 38.2; (1 3 2), 2θ = 34.11°, intensity 69.9

Structural model:
Lattice parameters (Å, degrees): 8.564 10.152 12.321 90.00 108.23 90.00
Space group P2_1/c (No. 14)
Asymmetric unit:
Au 0.221 0.083 0.048 x4
Se 0.238 0.710 0.998 x4
Cl 0.060 0.249 0.442 x4
Cl 0.102 0.593 0.849 x4
Cl 0.171 0.543 0.381 x4
Cl 0.275 0.207 0.212 x4
Cl 0.286 0.558 0.131 x4
Cl 0.381 0.586 0.655 x4
Cl 0.476 0.697 0.965 x4

---

# Cu4Ag
Calculated powder XRD pattern, a wavelength of 1.5418 Å. Input: DFT lattice parameters and positions (PBE).
Neutral-atom scattering factors, no anomalous dispersion.

Main lines, low angle first (10 to 80 degrees two-theta):
(6 0 -1), 2θ = 32.33°, intensity 3.0; (0 0 2), 2θ = 33.43°, intensity 3.9; (1 1 -1), 2θ = 37.20°, intensity 3.3; (4 0 2), 2θ = 41.92°, intensity 98.2; (5 1 0), 2θ = 41.99°, intensity 100.0; (1 1 -2), 2θ = 47.42°, intensity 67.9; (10 0 0), 2θ = 51.57°, intensity 25.8; (2 0 -4), 2θ = 69.21°, intensity 9.4; (0 2 0), 2θ = 69.43°, intensity 10.2; (9 1 2), 2θ = 72.65°, intensity 33.9

Structural model:
Lattice parameters (Å, degrees): 17.926 2.707 5.430 90.00 98.63 90.00
Space group C2/m (No. 12)
Asymmetric unit:
Cu 0.000 0.000 0.226 x4
Cu 0.103 0.500 0.053 x4
Cu 0.202 0.000 0.863 x4
Cu 0.206 0.000 0.342 x4
Ag 0.100 0.500 0.548 x4

---

# SmHoBrNCl2
Calculated powder XRD pattern, a wavelength of 1.5418 Å. Input: DFT lattice parameters and positions (PBE).
Neutral-atom scattering factors, no anomalous dispersion.

Main lines, low angle first (10 to 80 degrees two-theta):
(2 0 -1), 2θ = 10.28°, intensity 100.0; (4 0 -3), 2θ = 24.88°, intensity 20.4; (1 1 1), 2θ = 26.76°, intensity 61.2; (1 1 -2), 2θ = 28.17°, intensity 22.6; (4 0 -4), 2θ = 31.63°, intensity 24.5; (6 0 -1), 2θ = 32.15°, intensity 24.9; (1 1 2), 2θ = 32.60°, intensity 35.1; (5 1 -2), 2θ = 34.16°, intensity 25.0; (5 1 -3), 2θ = 36.04°, intensity 20.3; (5 1 1), 2θ = 43.83°, intensity 15.9

Structural model:
Lattice parameters (Å, degrees): 17.806 3.896 11.358 90.00 124.45 90.00
Space group C2/m (No. 12)
Asymmetric unit:
Sm 0.140 0.000 0.291 x4
Ho 0.075 0.500 0.956 x4
Br 0.220 0.000 0.117 x4
N 0.075 0.500 0.152 x4
Cl 0.037 0.000 0.761 x4
Cl 0.169 0.500 0.506 x4

---

# Tm2Ni21B6
Calculated powder XRD pattern, a wavelength of 1.5418 Å. Input: DFT lattice parameters and positions (PBE).
Neutral-atom scattering factors, no anomalous dispersion.

Main lines, low angle first (10 to 80 degrees two-theta):
(2 0 0), 2θ = 16.62°, intensity 15.5; (2 2 0), 2θ = 23.59°, intensity 17.2; (4 2 0), 2θ = 37.72°, intensity 76.6; (4 2 2), 2θ = 41.48°, intensity 67.8; (3 3 3), 2θ = 44.12°, intensity 100.0; (4 4 0), 2θ = 48.27°, intensity 35.2; (5 3 1), 2θ = 50.63°, intensity 24.7; (6 2 2), 2θ = 57.30°, intensity 21.0; (6 4 4), 2θ = 73.17°, intensity 22.3; (6 6 0), 2θ = 75.66°, intensity 39.5

Structural model:
Lattice parameters (Å, degrees): 10.666 10.666 10.666 90.00 90.00 90.00
Space group Fm-3m (No. 225)
Asymmetric unit:
Tm 0.250 0.250 0.250 x8
Ni 0.000 0.000 0.000 x4
Ni 0.000 0.168 0.168 x48
Ni 0.112 0.112 0.388 x32
B 0.000 0.000 0.271 x24

---

# CdHgTeO
Calculated powder XRD pattern, a wavelength of 1.5418 Å. Input: DFT lattice parameters and positions (PBE).
Neutral-atom scattering factors, no anomalous dispersion.

Main lines, low angle first (10 to 80 degrees two-theta):
(0 2 0), 2θ = 24.69°, intensity 40.2; (1 0 2), 2θ = 26.07°, intensity 81.2; (2 0 1), 2θ = 27.79°, intensity 82.3; (1 1 2), 2θ = 28.91°, intensity 56.8; (1 2 1), 2θ = 30.10°, intensity 100.0; (1 2 2), 2θ = 36.21°, intensity 51.8; (2 1 2), 2θ = 36.54°, intensity 21.2; (2 2 1), 2θ = 37.51°, intensity 42.6; (3 0 1), 2θ = 40.11°, intensity 21.2; (3 1 1), 2θ = 42.10°, intensity 37.0

Structural model:
Lattice parameters (Å, degrees): 7.041 7.213 7.818 90.00 90.00 90.00
Space group P2_12_12_1 (No. 19)
Asymmetric unit:
Cd 0.014 0.076 0.189 x4
Hg 0.090 0.728 0.871 x4
Te 0.190 0.172 0.862 x4
O 0.098 0.296 0.379 x4

---

# Pu2Ni17
Calculated powder XRD pattern, a wavelength of 1.5418 Å. Input: DFT lattice parameters and positions (PBE).
Neutral-atom scattering factors, no anomalous dispersion.

Main lines, low angle first (10 to 80 degrees two-theta):
(1 1 2), 2θ = 31.12°, intensity 56.9; (3 0 0), 2θ = 37.66°, intensity 46.3; (2 0 3), 2θ = 42.27°, intensity 37.0; (2 2 0), 2θ = 43.76°, intensity 61.1; (3 0 2), 2θ = 44.17°, intensity 100.0; (0 0 4), 2θ = 45.39°, intensity 28.5; (2 1 3), 2θ = 47.89°, intensity 16.7; (4 1 2), 2θ = 63.93°, intensity 21.2; (2 2 4), 2θ = 64.88°, intensity 19.0; (3 3 2), 2θ = 72.51°, intensity 16.7

Structural model:
Lattice parameters (Å, degrees): 8.2742 8.2742 7.9926 90.00 90.00 120.00
Space group P6_3/mmc (No. 194)
Asymmetric unit:
Pu 0.0000 0.0000 0.2500 x2
Pu 0.3333 0.6667 0.2500 x2
Ni 0.0000 0.5000 0.0000 x6
Ni 0.0440 0.3707 0.7500 x12
Ni 0.1643 0.3286 0.0219 x12
Ni 0.3333 0.6667 0.6017 x4

---

# YCdAs2
Calculated powder XRD pattern, a wavelength of 1.5418 Å. Input: DFT lattice parameters and positions (PBE).
Neutral-atom scattering factors, no anomalous dispersion.

Main lines, low angle first (10 to 80 degrees two-theta):
(1 1 1), 2θ = 21.69°, intensity 2.9; (2 0 0), 2θ = 25.10°, intensity 0.5; (2 2 0), 2θ = 35.79°, intensity 100.0; (3 1 1), 2θ = 42.23°, intensity 1.5; (4 0 0), 2θ = 51.51°, intensity 17.2; (3 3 1), 2θ = 56.52°, intensity 0.6; (4 2 2), 2θ = 64.30°, intensity 34.5; (4 4 0), 2θ = 75.83°, intensity 10.6

Structural model:
Lattice parameters (Å, degrees): 7.097 7.097 7.097 90.00 90.00 90.00
Space group F-43m (No. 216)
Asymmetric unit:
Y 0.000 0.000 0.000 x4
Cd 0.250 0.250 0.750 x4
As 0.000 0.000 0.500 x4
As 0.250 0.250 0.250 x4